The following is a calculated X-ray powder pattern of GdHoMg2Au4. It was derived from a structure optimized by DFT (PBE), using Cu Kα (λ = 1.5418 Å).
Neutral-atom scattering factors, no anomalous dispersion.

Main lines, sorted by position (2θ = 15–90°):
- 22.27°, rel. 19, (1 1 0)
- 25.53°, rel. 17, (1 0 1)
- 36.42°, rel. 52, (2 0 0)
- 36.94°, rel. 100, (1 2 1)
- 52.46°, rel. 18, (2 0 2)
- 65.83°, rel. 18, (1 2 3)
- 65.94°, rel. 19, (3 2 1)
- 66.88°, rel. 18, (2 4 0)

Structure:
```
data_GdHoMg2Au4
_chemical_formula_sum 'Gd1 Ho1 Mg2 Au4'
_cell_length_a 4.9281
_cell_length_b 6.7938
_cell_length_c 4.9388
_cell_angle_alpha 90.00
_cell_angle_beta 90.00
_cell_angle_gamma 90.00
_space_group_name_H-M_alt 'P m m 2'
_space_group_IT_number 25
_space_group_name_Hall 'P 2 -2'
loop_
_atom_site_label
_atom_site_type_symbol
_atom_site_fract_x
_atom_site_fract_y
_atom_site_fract_z
Gd1 Gd 0.0000 0.0000 0.0000
Ho1 Ho 0.5000 0.5000 0.5214
Mg1 Mg 0.0000 0.5000 0.0085
Mg2 Mg 0.5000 0.0000 0.5109
Au1 Au 0.0000 0.2532 0.4997
Au2 Au 0.5000 0.2556 0.0220
```

The following is a calculated X-ray powder pattern of GdHoPb2Au2. It was derived from a structure optimized by DFT (PBE), using Cu Kα (λ = 1.5418 Å).
Neutral-atom scattering factors, no anomalous dispersion.

Main lines, sorted by position (2θ = 15–90°):
- 24.46°, rel. 25, (1 0 1)
- 32.02°, rel. 93, (0 1 2)
- 37.52°, rel. 100, (1 1 0)
- 41.93°, rel. 41, (1 0 3)
- 50.13°, rel. 27, (2 0 2)
- 64.27°, rel. 26, (1 2 2)
- 67.71°, rel. 18, (3 0 0)
- 70.72°, rel. 18, (2 1 3)

Structure:
```
data_GdHoPb2Au2
_chemical_formula_sum 'Gd1 Ho1 Pb2 Au2'
_cell_length_a 4.7938
_cell_length_b 4.7938
_cell_length_c 7.5617
_cell_angle_alpha 90.00
_cell_angle_beta 90.00
_cell_angle_gamma 120.00
_space_group_name_H-M_alt 'P 3 m 1'
_space_group_IT_number 156
_space_group_name_Hall 'P 3 -2"'
loop_
_atom_site_label
_atom_site_type_symbol
_atom_site_fract_x
_atom_site_fract_y
_atom_site_fract_z
Gd1 Gd 0.0000 0.0000 0.0000
Ho1 Ho 0.0000 0.0000 0.5009
Pb1 Pb 0.3333 0.6667 0.2730
Pb2 Pb 0.6667 0.3333 0.7721
Au1 Au 0.3333 0.6667 0.6627
Au2 Au 0.6667 0.3333 0.1684
```